No. 1
Starting from a DFT-relaxed cell (GGA-PBE, Alexandria), the powder diffractogram of TcNi4Mo was calculated for Cu Kα.
Neutral-atom scattering factors, no anomalous dispersion.

Structural model:
Cell: 4.504 5.686 6.376 Å, 109.67 90.73 104.55°
Fractional coordinates of all 12 atoms:
Tc (0.208, 0.379, 0.455)
Tc (0.792, 0.621, 0.545)
Ni (0.129, 0.637, 0.877)
Ni (0.294, 0.127, 0.041)
Ni (0.384, 0.892, 0.630)
Ni (0.455, 0.619, 0.199)
Ni (0.545, 0.381, 0.801)
Ni (0.616, 0.108, 0.370)
Ni (0.706, 0.873, 0.959)
Ni (0.871, 0.363, 0.123)
Mo (0.037, 0.856, 0.276)
Mo (0.963, 0.144, 0.724)

Top 10 peaks for 5 to 70 degrees two-theta, in order of rising 2θ:
two_theta, d/Å, Rel. int.
14.84, 5.970, 5
35.36, 2.538, 5
37.55, 2.395, 5
42.46, 2.129, 98
42.57, 2.124, 99
42.77, 2.114, 100
43.06, 2.101, 95
49.02, 1.858, 63
49.25, 1.850, 64
50.92, 1.793, 57

No. 2
Starting from a DFT-relaxed cell (GGA-PBE, Alexandria), the powder diffractogram of Np4CuGe8 was calculated for Cu Kα.
Neutral-atom scattering factors, no anomalous dispersion.

Structural model:
Cell: 3.982 4.236 15.580 Å, 90.00 90.00 90.00°
Fractional coordinates of all 13 atoms:
Np (0.000, 0.000, 0.000)
Np (0.000, 0.500, 0.482)
Np (0.500, 0.000, 0.797)
Np (0.500, 0.500, 0.291)
Cu (0.000, 0.500, 0.708)
Ge (0.000, 0.000, 0.327)
Ge (0.000, 0.000, 0.626)
Ge (0.000, 0.500, 0.143)
Ge (0.000, 0.500, 0.859)
Ge (0.500, 0.000, 0.149)
Ge (0.500, 0.000, 0.440)
Ge (0.500, 0.500, 0.622)
Ge (0.500, 0.500, 0.966)

Top 10 peaks for 5 to 70 degrees two-theta, in order of rising 2θ:
two_theta, d/Å, Rel. int.
21.74, 4.088, 16
25.12, 3.545, 24
31.36, 2.852, 11
34.54, 2.597, 16
35.44, 2.533, 100
35.77, 2.510, 21
42.69, 2.118, 19
45.57, 1.991, 16
59.25, 1.560, 11
64.20, 1.451, 12

No. 3
Starting from a DFT-relaxed cell (GGA-PBE, Alexandria), the powder diffractogram of Mg2ZrCo was calculated for Cu Kα.
Neutral-atom scattering factors, no anomalous dispersion.

Structural model:
Cell: 3.194 3.194 7.450 Å, 90.00 90.00 90.00°
Fractional coordinates of all 4 atoms:
Mg (0.000, 0.000, 0.000)
Mg (0.500, 0.500, 0.290)
Zr (0.000, 0.000, 0.599)
Co (0.500, 0.500, 0.779)

Top 10 peaks for 5 to 70 degrees two-theta, in order of rising 2θ:
two_theta, d/Å, Rel. int.
11.88, 7.450, 100
23.89, 3.725, 7
30.45, 2.936, 14
37.08, 2.425, 83
39.92, 2.259, 43
41.79, 2.161, 18
46.31, 1.960, 25
57.26, 1.609, 8
57.73, 1.597, 14
64.89, 1.437, 6